1.
# ThScPa2P4
Simulated X-ray powder pattern, CuKα. Input: a DFT-relaxed cell (GGA-PBE, Alexandria).

Principal peaks in the range 2θ = 10–90°, by angle:
- d = 6.477 Å, 2θ = 13.67°, rel. 20, hkl 1 0 0
- d = 3.394 Å, 2θ = 26.25°, rel. 12, hkl 1 0 -2
- d = 3.249 Å, 2θ = 27.45°, rel. 72, hkl 0 0 2
- d = 3.234 Å, 2θ = 27.58°, rel. 24, hkl 2 0 0
- d = 2.810 Å, 2θ = 31.84°, rel. 100, hkl 1 1 1
- d = 1.991 Å, 2θ = 45.57°, rel. 37, hkl 0 2 0
- d = 1.984 Å, 2θ = 45.74°, rel. 37, hkl 3 1 -1
- d = 1.698 Å, 2θ = 54.01°, rel. 16, hkl 0 2 2
- d = 1.695 Å, 2θ = 54.12°, rel. 20, hkl 1 1 3
- d = 1.626 Å, 2θ = 56.62°, rel. 13, hkl 2 2 -2
- d = 1.405 Å, 2θ = 66.54°, rel. 12, hkl 2 2 2
- d = 1.255 Å, 2θ = 75.79°, rel. 17, hkl 4 2 0

Cell and atoms:
```
data_ThScPa2P4
_chemical_formula_sum 'Th1 Sc1 Pa2 P4'
_cell_length_a 6.865
_cell_length_b 3.987
_cell_length_c 6.887
_cell_angle_alpha 90.00
_cell_angle_beta 109.57
_cell_angle_gamma 90.00
_space_group_name_H-M_alt 'P 1 2/m 1'
_space_group_IT_number 10
_space_group_name_Hall '-P 2y'
loop_
_atom_site_label
_atom_site_fract_x
_atom_site_fract_y
_atom_site_fract_z
Th1 0.000 0.000 0.000
Sc1 0.000 0.500 0.500
Pa1 0.500 0.000 0.500
Pa2 0.500 0.500 0.000
P1 0.247 0.000 0.738
P2 0.254 0.500 0.264
```

---

2.
# Ce3Te3H2
Simulated X-ray powder pattern, CuKα. Input: a DFT-relaxed cell (GGA-PBE, Alexandria).

Principal peaks in the range 2θ = 10–90°, by angle:
- d = 3.162 Å, 2θ = 28.22°, rel. 53, hkl 1 1 3
- d = 2.903 Å, 2θ = 30.80°, rel. 34, hkl 0 4 0
- d = 2.841 Å, 2θ = 31.49°, rel. 72, hkl 1 3 0
- d = 2.798 Å, 2θ = 31.99°, rel. 100, hkl 1 1 4
- d = 2.654 Å, 2θ = 33.77°, rel. 30, hkl 0 0 6
- d = 2.547 Å, 2θ = 35.24°, rel. 20, hkl 0 4 3
- d = 2.505 Å, 2θ = 35.85°, rel. 35, hkl 1 3 3
- d = 2.118 Å, 2θ = 42.68°, rel. 18, hkl 0 2 7
- d = 2.092 Å, 2θ = 43.24°, rel. 30, hkl 2 0 0
- d = 1.940 Å, 2θ = 46.84°, rel. 23, hkl 1 3 6
- d = 1.542 Å, 2θ = 59.99°, rel. 23, hkl 1 7 0
- d = 1.476 Å, 2θ = 62.96°, rel. 19, hkl 1 1 10

Cell and atoms:
```
data_Ce3Te3H2
_chemical_formula_sum 'Ce12 Te12 H8'
_cell_length_a 4.184
_cell_length_b 11.612
_cell_length_c 15.924
_cell_angle_alpha 90.00
_cell_angle_beta 90.00
_cell_angle_gamma 90.00
_space_group_name_H-M_alt 'C m c m'
_space_group_IT_number 63
_space_group_name_Hall '-C 2c 2'
loop_
_atom_site_label
_atom_site_fract_x
_atom_site_fract_y
_atom_site_fract_z
Ce1 0.000 0.145 0.052
Ce2 0.000 0.145 0.750
Te1 0.000 0.146 0.250
Te2 0.000 0.429 0.103
H1 0.000 0.271 0.562
```

---

3.
# Sc4BeTl
Simulated X-ray powder pattern, CuKα. Input: a DFT-relaxed cell (GGA-PBE, Alexandria).

Principal peaks in the range 2θ = 10–90°, by angle:
- d = 4.724 Å, 2θ = 18.78°, rel. 48, hkl 1 1 1
- d = 4.091 Å, 2θ = 21.72°, rel. 46, hkl 2 0 0
- d = 2.893 Å, 2θ = 30.91°, rel. 44, hkl 2 2 0
- d = 2.467 Å, 2θ = 36.42°, rel. 100, hkl 3 1 1
- d = 2.362 Å, 2θ = 38.10°, rel. 28, hkl 2 2 2
- d = 1.877 Å, 2θ = 48.50°, rel. 14, hkl 3 3 1
- d = 1.830 Å, 2θ = 49.84°, rel. 21, hkl 4 2 0
- d = 1.670 Å, 2θ = 54.98°, rel. 18, hkl 4 2 2
- d = 1.575 Å, 2θ = 58.63°, rel. 33, hkl 5 1 1
- d = 1.446 Å, 2θ = 64.42°, rel. 18, hkl 4 4 0
- d = 1.383 Å, 2θ = 67.75°, rel. 10, hkl 5 3 1
- d = 1.248 Å, 2θ = 76.32°, rel. 11, hkl 5 3 3

Cell and atoms:
```
data_Sc4BeTl
_chemical_formula_sum 'Sc16 Be4 Tl4'
_cell_length_a 8.182
_cell_length_b 8.182
_cell_length_c 8.182
_cell_angle_alpha 90.00
_cell_angle_beta 90.00
_cell_angle_gamma 90.00
_space_group_name_H-M_alt 'F -4 3 m'
_space_group_IT_number 216
_space_group_name_Hall 'F -4 2 3'
loop_
_atom_site_label
_atom_site_fract_x
_atom_site_fract_y
_atom_site_fract_z
Sc1 0.125 0.125 0.125
Be1 0.000 0.000 0.500
Tl1 0.250 0.250 0.750
```

---

What did the third record say?
# Sc4BeTl
Simulated X-ray powder pattern, CuKα. Input: a DFT-relaxed cell (GGA-PBE, Alexandria).

Principal peaks in the range 2θ = 10–90°, by angle:
- d = 4.724 Å, 2θ = 18.78°, rel. 48, hkl 1 1 1
- d = 4.091 Å, 2θ = 21.72°, rel. 46, hkl 2 0 0
- d = 2.893 Å, 2θ = 30.91°, rel. 44, hkl 2 2 0
- d = 2.467 Å, 2θ = 36.42°, rel. 100, hkl 3 1 1
- d = 2.362 Å, 2θ = 38.10°, rel. 28, hkl 2 2 2
- d = 1.877 Å, 2θ = 48.50°, rel. 14, hkl 3 3 1
- d = 1.830 Å, 2θ = 49.84°, rel. 21, hkl 4 2 0
- d = 1.670 Å, 2θ = 54.98°, rel. 18, hkl 4 2 2
- d = 1.575 Å, 2θ = 58.63°, rel. 33, hkl 5 1 1
- d = 1.446 Å, 2θ = 64.42°, rel. 18, hkl 4 4 0
- d = 1.383 Å, 2θ = 67.75°, rel. 10, hkl 5 3 1
- d = 1.248 Å, 2θ = 76.32°, rel. 11, hkl 5 3 3

Cell and atoms:
```
data_Sc4BeTl
_chemical_formula_sum 'Sc16 Be4 Tl4'
_cell_length_a 8.182
_cell_length_b 8.182
_cell_length_c 8.182
_cell_angle_alpha 90.00
_cell_angle_beta 90.00
_cell_angle_gamma 90.00
_space_group_name_H-M_alt 'F -4 3 m'
_space_group_IT_number 216
_space_group_name_Hall 'F -4 2 3'
loop_
_atom_site_label
_atom_site_fract_x
_atom_site_fract_y
_atom_site_fract_z
Sc1 0.125 0.125 0.125
Be1 0.000 0.000 0.500
Tl1 0.250 0.250 0.750
```